Diffraction record for ThNi2P2. The X-ray diffraction stick pattern is theoretical, not measured: it uses a DFT-relaxed cell (PBE, the Materials Project) and Cu Kα X-rays.
Intensities are scaled so that the largest is 100.

Structure:
abc: 8.237 3.939 9.803
angles: 90.00 90.00 90.00
Space group Pnma (No. 62)
Symmetry-distinct sites (fractional):
Th  0.240  0.250  0.170 (multiplicity 4)
Ni  0.048  0.250  0.876 (multiplicity 4)
Ni  0.083  0.250  0.452 (multiplicity 4)
P  0.031  0.750  0.339 (multiplicity 4)
P  0.143  0.750  0.951 (multiplicity 4)

Top 8 peaks for 2θ from 10° to 90°, in order of rising 2θ:
h k l  d/Å  I/Imax
1 0 2  4.212  40
0 1 1  3.655  39
2 1 1  2.734  100
1 1 3  2.405  87
3 0 2  2.395  50
1 0 4  2.349  33
0 2 0  1.969  27
2 1 5  1.615  24

Diffraction record for OsN. The X-ray diffraction stick pattern is theoretical, not measured: it uses a DFT-relaxed cell (PBE, the Materials Project) and Cu Kα X-rays.
Intensities are scaled so that the largest is 100.

Structure:
abc: 2.695 2.695 6.162
angles: 90.00 90.00 90.00
Space group P4_2/mmc (No. 131)
Symmetry-distinct sites (fractional):
Os  0.000  0.500  0.000 (multiplicity 2)
N  0.000  0.000  0.250 (multiplicity 2)

Top 8 peaks for 2θ from 10° to 90°, in order of rising 2θ:
h k l  d/Å  I/Imax
0 0 2  3.081  39
1 0 1  2.469  100
1 1 0  1.905  21
1 0 3  1.634  29
1 1 2  1.621  31
2 0 2  1.234  10
1 1 4  1.198  10
2 1 1  1.183  20

- Which formula does entry 1 have?
  ThNi2P2